[1]
This entry pairs a crystal structure of Nb4Ag2O11 with its computed powder XRD pattern. Radiation: λ = 1.5418 Å (Cu Kα). Structure: DFT lattice parameters and positions (GGA-PBE).
No peak broadening, texture or thermal motion is included.

Cell and atoms:
Unit cell a=11.018 b=6.240 c=13.080 alpha=90.00 beta=105.96 gamma=90.00
Space group Cc (No. 9)
Inequivalent atoms, fractional coordinates:
Nb 0.000 0.073 0.000 [4 per cell]
Nb 0.177 0.378 0.493 [4 per cell]
Nb 0.362 0.074 0.000 [4 per cell]
Nb 0.423 0.258 0.744 [4 per cell]
Ag 0.102 0.256 0.762 [4 per cell]
Ag 0.260 0.243 0.237 [4 per cell]
O 0.021 0.090 0.160 [4 per cell]
O 0.025 0.249 0.532 [4 per cell]
O 0.060 0.372 0.004 [4 per cell]
O 0.101 0.358 0.344 [4 per cell]
O 0.182 0.005 0.503 [4 per cell]
O 0.262 0.359 0.660 [4 per cell]
O 0.303 0.375 0.001 [4 per cell]
O 0.338 0.248 0.471 [4 per cell]
O 0.343 0.098 0.846 [4 per cell]
O 0.417 0.010 0.159 [4 per cell]
O 0.449 0.488 0.347 [4 per cell]

Principal peaks in the range 2θ = 10–90°, low angle first:
| h k l | Position (°2θ) | I_rel |
| --- | --- | --- |
| 0 0 4 | 28.39 | 100 |
| 3 1 0 | 29.09 | 60 |
| 0 2 1 | 29.50 | 32 |
| 3 1 1 | 31.58 | 79 |
| 3 1 -3 | 31.72 | 79 |
| 0 2 2 | 32.03 | 66 |
| 6 0 -2 | 49.65 | 24 |
| 3 3 -1 | 50.43 | 46 |
| 0 0 8 | 58.77 | 37 |
| 3 3 -5 | 58.97 | 27 |

=====

[2]
This entry pairs a crystal structure of NbAgO3 with its computed powder XRD pattern. Radiation: λ = 1.5418 Å (Cu Kα). Structure: DFT lattice parameters and positions (GGA-PBE).
No peak broadening, texture or thermal motion is included.

Cell and atoms:
Unit cell a=7.832 b=11.222 c=3.116 alpha=90.00 beta=90.00 gamma=90.00
Space group Cmmm (No. 65)
Inequivalent atoms, fractional coordinates:
Nb 0.250 0.250 0.000 [4 per cell]
Ag 0.000 0.000 0.500 [2 per cell]
Ag 0.000 0.500 0.500 [2 per cell]
O 0.000 0.237 0.000 [4 per cell]
O 0.240 0.369 0.500 [8 per cell]

Principal peaks in the range 2θ = 10–90°, low angle first:
| h k l | Position (°2θ) | I_rel |
| --- | --- | --- |
| 2 2 0 | 27.78 | 100 |
| 0 4 0 | 31.90 | 34 |
| 0 2 1 | 32.88 | 85 |
| 2 0 1 | 36.87 | 31 |
| 4 0 0 | 46.37 | 20 |
| 2 4 1 | 49.53 | 52 |
| 2 6 0 | 54.36 | 14 |
| 0 6 1 | 57.44 | 29 |
| 4 2 1 | 58.01 | 31 |
| 0 8 0 | 66.72 | 22 |

=====

[3]
This entry pairs a crystal structure of NbAgO3 with its computed powder XRD pattern. Radiation: λ = 1.5418 Å (Cu Kα). Structure: DFT lattice parameters and positions (GGA-PBE).
No peak broadening, texture or thermal motion is included.

Cell and atoms:
Unit cell a=4.024 b=4.024 c=4.024 alpha=90.00 beta=90.00 gamma=90.00
Space group Pm-3m (No. 221)
Inequivalent atoms, fractional coordinates:
Nb 0.000 0.000 0.000 [1 per cell]
Ag 0.500 0.500 0.500 [1 per cell]
O 0.000 0.000 0.500 [3 per cell]

Principal peaks in the range 2θ = 10–90°, low angle first:
| h k l | Position (°2θ) | I_rel |
| --- | --- | --- |
| 1 1 0 | 31.44 | 100 |
| 1 1 1 | 38.76 | 4 |
| 2 0 0 | 45.06 | 32 |
| 2 1 1 | 55.97 | 38 |
| 2 2 0 | 65.62 | 19 |
| 3 1 0 | 74.58 | 16 |
| 3 1 1 | 78.90 | 1 |
| 2 2 2 | 83.16 | 6 |

=====

[4]
This entry pairs a crystal structure of NbAgO3 with its computed powder XRD pattern. Radiation: λ = 1.5418 Å (Cu Kα). Structure: DFT lattice parameters and positions (GGA-PBE).
No peak broadening, texture or thermal motion is included.

Cell and atoms:
Unit cell a=7.832 b=11.240 c=3.113 alpha=90.00 beta=90.00 gamma=90.00
Space group Cmmm (No. 65)
Inequivalent atoms, fractional coordinates:
Nb 0.250 0.250 0.000 [4 per cell]
Ag 0.000 0.000 0.500 [2 per cell]
Ag 0.000 0.500 0.500 [2 per cell]
O 0.000 0.248 0.000 [4 per cell]
O 0.249 0.369 0.500 [8 per cell]

Principal peaks in the range 2θ = 10–90°, low angle first:
| h k l | Position (°2θ) | I_rel |
| --- | --- | --- |
| 2 2 0 | 27.77 | 100 |
| 0 4 0 | 31.85 | 34 |
| 0 2 1 | 32.89 | 85 |
| 2 0 1 | 36.89 | 31 |
| 4 0 0 | 46.37 | 20 |
| 2 4 1 | 49.51 | 52 |
| 0 6 1 | 57.38 | 29 |
| 4 2 1 | 58.02 | 31 |
| 2 2 2 | 66.78 | 16 |
| 4 0 2 | 78.55 | 15 |